# PrAgWO5
Computed powder diffraction line list, Cu Kα, 1.54184 Å. Input: DFT lattice parameters and positions (PBE+U).

```
PrAgWO5
1.0
4.5382 -4.6577 0.0000
4.5382 4.6577 0.0000
-4.3729 0.0000 7.7120
Pr Ag W O
2 2 2 10
direct
0.0000 0.0000 0.0000
0.0000 0.0000 0.5000
0.2986 0.7014 0.7500
0.7014 0.2986 0.2500
0.3664 0.6336 0.2500
0.6336 0.3664 0.7500
0.0720 0.9280 0.7500
0.2526 0.7475 0.0848
0.2525 0.7474 0.4152
0.2935 0.3310 0.1546
0.3310 0.2935 0.6546
0.6690 0.7065 0.3454
0.7065 0.6690 0.8454
0.7475 0.2526 0.5848
0.7474 0.2525 0.9152
0.9280 0.0720 0.2500
```

The 10 most intense peaks (10° ≤ 2θ ≤ 80°), sorted by position:
Position (°2θ)	d (Å)	I_rel
22.2	4.000	100.0
22.5	3.948	88.3
30.0	2.974	36.4
31.0	2.889	59.0
31.8	2.818	22.7
31.9	2.804	22.3
40.7	2.216	19.0
45.2	2.008	21.7
45.5	1.995	21.4
46.0	1.974	14.2